Theoretical powder diffraction line list
Compound: CaLaPm4
Radiation: CuKα
Structure: a structure optimized by DFT (GGA-PBE)
Neutral-atom scattering factors, no anomalous dispersion.

```
CaLaPm4
1.0
3.679 0.000 0.000
0.000 5.248 0.000
0.000 0.000 11.122
Ca La Pm
1 1 4
Direct
0.000 0.000 0.000
0.500 0.500 0.500
0.000 0.000 0.335
0.000 0.000 0.665
0.500 0.500 0.176
0.500 0.500 0.824
```

Peak list (12 most intense, 10° ≤ 2θ ≤ 80°, by angle)
Position (°2θ)	d/Å	I/Imax
29.50	3.028	100
29.65	3.013	100
34.17	2.624	34
34.34	2.612	67
49.21	1.852	60
49.55	1.840	12
58.37	1.581	29
58.46	1.579	28
58.72	1.572	28
61.22	1.514	12
61.57	1.506	12
79.74	1.203	17


Theoretical powder diffraction line list
Compound: CaLa2Pm3
Radiation: CuKα
Structure: a structure optimized by DFT (GGA-PBE)
Neutral-atom scattering factors, no anomalous dispersion.

```
CaLa2Pm3
1.0
6.854 0.000 0.000
-3.427 5.936 0.000
0.000 0.000 11.083
Ca La Pm
2 4 6
Direct
0.333 0.667 0.436
0.667 0.333 0.564
0.000 0.000 0.000
0.000 0.000 0.500
0.333 0.667 0.076
0.667 0.333 0.924
0.171 0.342 0.757
0.171 0.829 0.757
0.342 0.171 0.243
0.658 0.829 0.757
0.829 0.171 0.243
0.829 0.658 0.243
```

Peak list (12 most intense, 10° ≤ 2θ ≤ 80°, by angle)
Position (°2θ)	d/Å	I/Imax
28.46	3.136	51
30.67	2.915	78
31.20	2.867	100
32.31	2.771	20
34.27	2.616	39
35.76	2.511	20
47.41	1.918	21
48.88	1.863	23
51.45	1.776	28
52.48	1.744	18
53.47	1.714	30
63.87	1.457	17


Theoretical powder diffraction line list
Compound: CaLa5Pm8
Radiation: CuKα
Structure: a structure optimized by DFT (GGA-PBE)
Neutral-atom scattering factors, no anomalous dispersion.

```
CaLa5Pm8
1.0
-4.953 4.953 5.210
4.953 -4.953 5.210
4.953 4.953 -5.210
Ca La Pm
1 5 8
Direct
0.000 0.000 0.000
0.039 0.218 0.607
0.250 0.750 0.500
0.568 0.961 0.179
0.611 0.432 0.393
0.782 0.389 0.821
0.090 0.680 0.757
0.279 0.526 0.100
0.320 0.077 0.410
0.426 0.179 0.900
0.474 0.574 0.753
0.667 0.910 0.590
0.821 0.721 0.247
0.923 0.333 0.243
```

Peak list (12 most intense, 10° ≤ 2θ ≤ 80°, by angle)
Position (°2θ)	d/Å	I/Imax
27.21	3.277	44
28.35	3.148	54
28.49	3.133	72
30.76	2.907	25
32.77	2.733	100
33.38	2.685	35
33.74	2.657	48
46.69	1.945	15
53.23	1.721	20
54.37	1.687	18
55.34	1.660	15
61.01	1.519	18


Theoretical powder diffraction line list
Compound: Ca2La6Pm
Radiation: CuKα
Structure: a structure optimized by DFT (GGA-PBE)
Neutral-atom scattering factors, no anomalous dispersion.

```
Ca2La6Pm
1.0
7.253 0.000 0.000
2.381 8.561 0.000
3.013 2.800 11.146
Ca La Pm
4 12 2
Direct
0.091 0.195 0.495
0.142 0.535 0.751
0.858 0.465 0.249
0.909 0.805 0.505
0.128 0.753 0.995
0.130 0.006 0.214
0.312 0.565 0.281
0.361 0.347 0.038
0.424 0.852 0.699
0.467 0.733 0.444
0.533 0.267 0.556
0.576 0.148 0.301
0.639 0.653 0.962
0.688 0.435 0.719
0.870 0.994 0.786
0.872 0.247 0.005
0.348 0.096 0.876
0.652 0.904 0.124
```

Peak list (12 most intense, 10° ≤ 2θ ≤ 80°, by angle)
Position (°2θ)	d/Å	I/Imax
12.90	6.861	35
25.68	3.469	17
29.35	3.044	93
29.82	2.996	100
30.29	2.951	39
30.49	2.932	62
30.64	2.918	80
31.04	2.881	61
31.29	2.859	25
33.17	2.701	20
34.70	2.585	32
40.48	2.228	23


Theoretical powder diffraction line list
Compound: CaLa3Pm4
Radiation: CuKα
Structure: a structure optimized by DFT (GGA-PBE)
Neutral-atom scattering factors, no anomalous dispersion.

```
CaLa3Pm4
1.0
7.440 0.000 0.000
0.000 10.430 0.000
0.000 0.000 7.422
Ca La Pm
2 6 8
Direct
0.000 0.000 0.000
0.500 0.000 0.500
0.000 0.500 0.000
0.250 0.255 0.250
0.250 0.745 0.750
0.500 0.500 0.500
0.750 0.255 0.250
0.750 0.745 0.750
0.000 0.000 0.500
0.000 0.500 0.500
0.250 0.254 0.750
0.250 0.746 0.250
0.500 0.000 0.000
0.500 0.500 0.000
0.750 0.254 0.750
0.750 0.746 0.250
```

Peak list (12 most intense, 10° ≤ 2θ ≤ 80°, by angle)
Position (°2θ)	d/Å	I/Imax
29.52	3.026	100
34.13	2.627	34
34.39	2.607	17
48.97	1.860	6
49.10	1.856	6
49.23	1.851	24
58.28	1.583	29
58.63	1.575	14
61.21	1.514	6
61.32	1.512	6
71.87	1.314	4
79.86	1.201	11


Theoretical powder diffraction line list
Compound: CaLa2PmS4
Radiation: CuKα
Structure: a structure optimized by DFT (GGA-PBE)
Neutral-atom scattering factors, no anomalous dispersion.

```
CaLa2PmS4
1.0
7.101 0.000 0.000
0.000 4.075 0.000
-2.333 0.000 6.710
Ca La Pm S
1 2 1 4
Direct
0.000 0.000 0.000
0.500 0.000 0.500
0.500 0.500 0.000
0.000 0.500 0.500
0.239 0.500 0.244
0.240 0.000 0.750
0.760 0.000 0.250
0.761 0.500 0.756
```

Peak list (12 most intense, 10° ≤ 2θ ≤ 80°, by angle)
Position (°2θ)	d/Å	I/Imax
13.20	6.709	10
26.58	3.354	29
26.75	3.332	29
30.89	2.895	100
44.00	2.058	12
44.25	2.047	48
44.46	2.038	12
52.53	1.742	14
54.73	1.677	12
55.12	1.666	12
64.36	1.448	11
73.09	1.295	21


Theoretical powder diffraction line list
Compound: CaLa2Pm2Sm2
Radiation: CuKα
Structure: a structure optimized by DFT (GGA-PBE)
Neutral-atom scattering factors, no anomalous dispersion.

```
CaLa2Pm2Sm2
1.0
11.718 0.000 0.000
0.000 5.270 0.000
-1.221 0.000 8.134
Ca La Pm Sm
2 4 4 4
Direct
0.000 0.000 0.000
0.500 0.500 0.000
0.145 0.000 0.433
0.355 0.500 0.567
0.645 0.500 0.433
0.855 0.000 0.567
0.217 0.500 0.145
0.283 0.000 0.855
0.717 0.000 0.145
0.783 0.500 0.855
0.075 0.500 0.708
0.425 0.000 0.292
0.575 0.000 0.708
0.925 0.500 0.292
```

Peak list (12 most intense, 10° ≤ 2θ ≤ 80°, by angle)
Position (°2θ)	d/Å	I/Imax
29.45	3.033	100
29.66	3.012	98
34.03	2.635	36
34.37	2.609	66
49.14	1.854	60
49.67	1.835	12
58.11	1.588	15
58.23	1.584	14
58.44	1.579	28
58.81	1.570	28
61.11	1.517	12
61.58	1.506	12


Theoretical powder diffraction line list
Compound: CaLaPr5
Radiation: CuKα
Structure: a structure optimized by DFT (GGA-PBE)
Neutral-atom scattering factors, no anomalous dispersion.

```
CaLaPr5
1.0
5.047 0.000 0.000
0.000 5.047 0.000
0.000 0.000 10.797
Ca La Pr
1 1 5
Direct
0.000 0.000 0.000
0.000 0.000 0.500
0.000 0.500 0.254
0.000 0.500 0.746
0.500 0.000 0.254
0.500 0.000 0.746
0.500 0.500 0.000
```

Peak list (12 most intense, 10° ≤ 2θ ≤ 80°, by angle)
Position (°2θ)	d/Å	I/Imax
16.42	5.399	8
19.41	4.572	20
30.02	2.977	100
30.51	2.930	7
33.19	2.699	19
35.58	2.523	32
40.85	2.209	6
49.44	1.843	25
51.20	1.784	11
57.34	1.607	16
60.49	1.530	27
62.39	1.488	12


Theoretical powder diffraction line list
Compound: Ca2La2Pr5
Radiation: CuKα
Structure: a structure optimized by DFT (GGA-PBE)
Neutral-atom scattering factors, no anomalous dispersion.

```
Ca2La2Pr5
1.0
8.018 -2.661 0.000
8.018 2.661 0.000
-2.676 0.000 7.916
Ca La Pr
2 2 5
Direct
0.222 0.222 0.335
0.778 0.778 0.665
0.337 0.337 0.006
0.663 0.663 0.994
0.000 0.000 0.000
0.104 0.104 0.671
0.451 0.451 0.670
0.549 0.549 0.330
0.896 0.896 0.329
```

Peak list (12 most intense, 10° ≤ 2θ ≤ 80°, by angle)
Position (°2θ)	d/Å	I/Imax
11.65	7.596	10
29.10	3.068	100
33.53	2.673	17
33.69	2.661	17
33.97	2.639	18
48.27	1.886	12
48.48	1.878	12
48.60	1.874	12
57.25	1.609	14
57.46	1.604	14
57.84	1.594	14
60.33	1.534	12


Theoretical powder diffraction line list
Compound: CaLa2Pr4
Radiation: CuKα
Structure: a structure optimized by DFT (GGA-PBE)
Neutral-atom scattering factors, no anomalous dispersion.

```
CaLa2Pr4
1.0
1.869 1.079 21.549
-1.869 1.079 21.549
0.000 -2.158 21.549
Ca La Pr
1 2 4
Direct
0.000 0.000 0.000
0.429 0.429 0.429
0.571 0.571 0.571
0.143 0.143 0.143
0.283 0.283 0.283
0.717 0.717 0.717
0.857 0.857 0.857
```

Peak list (12 most intense, 10° ≤ 2θ ≤ 80°, by angle)
Position (°2θ)	d/Å	I/Imax
29.01	3.078	33
29.23	3.055	100
33.82	2.651	67
48.43	1.880	23
48.72	1.869	24
57.44	1.604	13
57.71	1.598	28
57.84	1.594	14
60.62	1.527	12
71.14	1.325	7
78.59	1.217	5
78.93	1.213	12


Theoretical powder diffraction line list
Compound: Ca2La6Pr5
Radiation: CuKα
Structure: a structure optimized by DFT (GGA-PBE)
Neutral-atom scattering factors, no anomalous dispersion.

```
Ca2La6Pr5
1.0
12.423 0.000 0.000
0.000 21.365 0.000
0.000 0.000 3.673
Ca La Pr
4 12 10
Direct
0.166 0.215 0.000
0.334 0.715 0.000
0.666 0.285 0.000
0.834 0.785 0.000
0.050 0.924 0.000
0.068 0.639 0.000
0.190 0.377 0.500
0.310 0.877 0.500
0.432 0.139 0.000
0.450 0.424 0.000
0.550 0.576 0.000
0.568 0.861 0.000
0.690 0.123 0.500
0.810 0.623 0.500
0.932 0.361 0.000
0.950 0.076 0.000
0.000 0.500 0.500
0.094 0.781 0.500
0.212 0.053 0.500
0.288 0.553 0.500
0.406 0.281 0.500
0.500 0.000 0.500
0.594 0.719 0.500
0.712 0.447 0.500
0.788 0.947 0.500
0.906 0.219 0.500
```

Peak list (12 most intense, 10° ≤ 2θ ≤ 80°, by angle)
Position (°2θ)	d/Å	I/Imax
28.25	3.160	62
29.05	3.074	70
29.49	3.029	33
30.00	2.978	50
30.15	2.964	90
30.40	2.940	49
30.95	2.890	100
32.92	2.721	66
33.18	2.700	48
35.00	2.564	32
49.64	1.837	28
59.18	1.561	27


Theoretical powder diffraction line list
Compound: CaLa6Pr
Radiation: CuKα
Structure: a structure optimized by DFT (GGA-PBE)
Neutral-atom scattering factors, no anomalous dispersion.

```
CaLa6Pr
1.0
5.310 0.000 0.000
0.000 5.310 0.000
0.000 0.000 10.553
Ca La Pr
1 6 1
Direct
0.000 0.000 0.000
0.000 0.500 0.256
0.000 0.500 0.744
0.500 0.000 0.256
0.500 0.000 0.744
0.500 0.500 0.000
0.500 0.500 0.500
0.000 0.000 0.500
```

Peak list (12 most intense, 10° ≤ 2θ ≤ 80°, by angle)
Position (°2θ)	d/Å	I/Imax
18.71	4.743	3
29.19	3.059	100
33.76	2.655	34
33.98	2.638	17
48.49	1.877	12
48.66	1.871	24
57.61	1.600	29
57.90	1.593	14
60.53	1.530	12
71.01	1.327	4
78.56	1.218	6
78.81	1.214	11


Theoretical powder diffraction line list
Compound: CaLa4Pr3
Radiation: CuKα
Structure: a structure optimized by DFT (GGA-PBE)
Neutral-atom scattering factors, no anomalous dispersion.

```
CaLa4Pr3
1.0
5.313 0.000 0.000
0.000 5.313 0.000
0.000 0.000 20.989
Ca La Pr
2 8 6
Direct
0.000 0.000 0.000
0.500 0.500 0.500
0.000 0.500 0.128
0.000 0.500 0.372
0.000 0.500 0.628
0.000 0.500 0.872
0.500 0.000 0.128
0.500 0.000 0.372
0.500 0.000 0.628
0.500 0.000 0.872
0.000 0.000 0.250
0.000 0.000 0.500
0.000 0.000 0.750
0.500 0.500 0.000
0.500 0.500 0.250
0.500 0.500 0.750
```

Peak list (12 most intense, 10° ≤ 2θ ≤ 80°, by angle)
Position (°2θ)	d/Å	I/Imax
17.22	5.151	3
29.24	3.055	100
33.74	2.657	34
34.18	2.624	16
48.46	1.879	12
48.78	1.867	24
57.60	1.600	29
58.18	1.586	14
60.63	1.527	12
70.95	1.328	4
78.52	1.218	6
79.02	1.212	11